Calculated XRD peak list of ZrTlS3 for Cu Kα X-rays, from a crystal structure in Alexandria, relaxed with PBE.
Kinematic intensities with the Lorentz-polarization factor, no thermal factor.

Peak list (6 most intense, 2θ = 10–90°, in order of rising 2θ)
23.97°, rel. 100
26.49°, rel. 79
36.03°, rel. 53
38.76°, rel. 43
45.27°, rel. 44
46.77°, rel. 35

Structure:
Cell lengths 7.506, 7.506, 7.506 Å; angles 53.26, 53.26, 53.26 degrees
Atoms (fractional coordinates):
Zr: 0.160 0.160 0.160
Zr: 0.840 0.840 0.840
Tl: 0.371 0.371 0.371
Tl: 0.629 0.629 0.629
S: 0.024 0.432 0.807
S: 0.193 0.976 0.568
S: 0.432 0.807 0.024
S: 0.568 0.193 0.976
S: 0.807 0.024 0.432
S: 0.976 0.568 0.193



Calculated XRD peak list of Zr5TlS8 for Cu Kα X-rays, from a crystal structure in Alexandria, relaxed with PBE.
Kinematic intensities with the Lorentz-polarization factor, no thermal factor.

Peak list (6 most intense, 2θ = 10–90°, in order of rising 2θ)
19.11°, rel. 77
19.64°, rel. 86
29.22°, rel. 54
31.59°, rel. 84
38.43°, rel. 100
50.85°, rel. 65

Structure:
Cell lengths 9.492, 9.492, 9.582 Å; angles 103.99, 103.99, 21.93 degrees
Atoms (fractional coordinates):
Zr: 0.000 0.000 0.000
Zr: 0.293 0.293 0.649
Zr: 0.334 0.334 0.008
Zr: 0.666 0.666 0.992
Zr: 0.707 0.707 0.351
Tl: 0.500 0.500 0.500
S: 0.089 0.089 0.829
S: 0.159 0.159 0.497
S: 0.242 0.242 0.174
S: 0.423 0.423 0.836
S: 0.577 0.577 0.164
S: 0.758 0.758 0.826
S: 0.841 0.841 0.503
S: 0.911 0.911 0.171



Calculated XRD peak list of Tm10S19 for Cu Kα X-rays, from a crystal structure in Alexandria, relaxed with PBE.
Kinematic intensities with the Lorentz-polarization factor, no thermal factor.

Peak list (6 most intense, 2θ = 10–90°, in order of rising 2θ)
22.78°, rel. 30
25.95°, rel. 100
33.14°, rel. 42
40.60°, rel. 54
42.00°, rel. 39
54.99°, rel. 26

Structure:
Cell lengths 8.547, 8.547, 15.614 Å; angles 90.00, 90.00, 90.00 degrees
Atoms (fractional coordinates):
Tm: 0.041 0.152 0.121
Tm: 0.054 0.145 0.605
Tm: 0.145 0.446 0.895
Tm: 0.152 0.459 0.379
Tm: 0.250 0.750 0.116
Tm: 0.250 0.750 0.616
Tm: 0.348 0.041 0.379
Tm: 0.355 0.054 0.895
Tm: 0.446 0.355 0.605
Tm: 0.459 0.348 0.121
Tm: 0.541 0.652 0.879
Tm: 0.554 0.645 0.395
Tm: 0.645 0.946 0.105
Tm: 0.652 0.959 0.621
Tm: 0.750 0.250 0.384
Tm: 0.750 0.250 0.884
Tm: 0.848 0.541 0.621
Tm: 0.855 0.554 0.105
Tm: 0.946 0.855 0.395
Tm: 0.959 0.848 0.879
S: 0.030 0.690 0.250
S: 0.048 0.152 0.429
S: 0.054 0.149 0.938
S: 0.069 0.616 0.750
S: 0.116 0.931 0.250
S: 0.149 0.446 0.562
S: 0.152 0.452 0.071
S: 0.190 0.970 0.750
S: 0.250 0.250 0.250
S: 0.250 0.750 0.436
S: 0.250 0.750 0.936
S: 0.310 0.530 0.750
S: 0.348 0.048 0.071
S: 0.351 0.054 0.562
S: 0.384 0.569 0.250
S: 0.431 0.884 0.750
S: 0.446 0.351 0.938
S: 0.452 0.348 0.429
S: 0.470 0.810 0.250
S: 0.530 0.190 0.750
S: 0.548 0.652 0.571
S: 0.554 0.649 0.062
S: 0.569 0.116 0.250
S: 0.616 0.431 0.750
S: 0.649 0.946 0.438
S: 0.652 0.952 0.929
S: 0.690 0.470 0.250
S: 0.750 0.250 0.064
S: 0.750 0.250 0.564
S: 0.750 0.750 0.750
S: 0.810 0.030 0.250
S: 0.848 0.548 0.929
S: 0.851 0.554 0.438
S: 0.884 0.069 0.750
S: 0.931 0.384 0.250
S: 0.946 0.851 0.062
S: 0.952 0.848 0.571
S: 0.970 0.310 0.750



Calculated XRD peak list of Tm2S3 for Cu Kα X-rays, from a crystal structure in Alexandria, relaxed with PBE.
Kinematic intensities with the Lorentz-polarization factor, no thermal factor.

Peak list (6 most intense, 2θ = 10–90°, in order of rising 2θ)
23.63°, rel. 84
25.18°, rel. 72
27.27°, rel. 100
36.92°, rel. 75
40.35°, rel. 85
44.69°, rel. 98

Structure:
Cell lengths 10.065, 3.971, 17.494 Å; angles 90.00, 98.62, 90.00 degrees
Atoms (fractional coordinates):
Tm: 0.013 0.250 0.100
Tm: 0.049 0.750 0.615
Tm: 0.311 0.250 0.479
Tm: 0.312 0.250 0.779
Tm: 0.330 0.750 0.282
Tm: 0.376 0.250 0.071
Tm: 0.624 0.750 0.929
Tm: 0.670 0.250 0.718
Tm: 0.688 0.750 0.221
Tm: 0.689 0.750 0.521
Tm: 0.951 0.250 0.385
Tm: 0.987 0.750 0.900
S: 0.115 0.750 0.468
S: 0.133 0.250 0.969
S: 0.137 0.750 0.783
S: 0.181 0.250 0.319
S: 0.210 0.750 0.132
S: 0.231 0.250 0.627
S: 0.447 0.250 0.925
S: 0.452 0.750 0.424
S: 0.492 0.250 0.232
S: 0.508 0.750 0.768
S: 0.548 0.250 0.576
S: 0.553 0.750 0.075
S: 0.769 0.750 0.373
S: 0.790 0.250 0.868
S: 0.819 0.750 0.681
S: 0.863 0.250 0.217
S: 0.867 0.750 0.031
S: 0.885 0.250 0.532



Calculated XRD peak list of Tm2S3 for Cu Kα X-rays, from a crystal structure in Alexandria, relaxed with PBE.
Kinematic intensities with the Lorentz-polarization factor, no thermal factor.

Peak list (6 most intense, 2θ = 10–90°, in order of rising 2θ)
24.09°, rel. 100
26.31°, rel. 43
26.87°, rel. 55
27.10°, rel. 49
30.27°, rel. 71
36.06°, rel. 56

Structure:
Cell lengths 10.504, 3.812, 10.392 Å; angles 90.00, 90.00, 90.00 degrees
Atoms (fractional coordinates):
Tm: 0.011 0.250 0.187
Tm: 0.192 0.250 0.504
Tm: 0.308 0.750 0.004
Tm: 0.489 0.750 0.687
Tm: 0.511 0.250 0.313
Tm: 0.692 0.250 0.996
Tm: 0.808 0.750 0.496
Tm: 0.989 0.750 0.813
S: 0.046 0.750 0.373
S: 0.119 0.250 0.944
S: 0.227 0.750 0.694
S: 0.273 0.250 0.194
S: 0.381 0.750 0.444
S: 0.454 0.250 0.873
S: 0.546 0.750 0.127
S: 0.619 0.250 0.556
S: 0.727 0.750 0.806
S: 0.773 0.250 0.306
S: 0.881 0.750 0.056
S: 0.954 0.250 0.627



Calculated XRD peak list of Tm2S3 for Cu Kα X-rays, from a crystal structure in Alexandria, relaxed with PBE.
Kinematic intensities with the Lorentz-polarization factor, no thermal factor.

Peak list (6 most intense, 2θ = 10–90°, in order of rising 2θ)
24.62°, rel. 94
26.21°, rel. 100
36.26°, rel. 44
39.66°, rel. 85
45.29°, rel. 44
46.24°, rel. 47

Structure:
Cell lengths 7.263, 7.263, 7.263 Å; angles 55.83, 55.83, 55.83 degrees
Atoms (fractional coordinates):
Tm: 0.151 0.151 0.151
Tm: 0.349 0.349 0.349
Tm: 0.651 0.651 0.651
Tm: 0.849 0.849 0.849
S: 0.052 0.750 0.448
S: 0.250 0.552 0.948
S: 0.448 0.052 0.750
S: 0.552 0.948 0.250
S: 0.750 0.448 0.052
S: 0.948 0.250 0.552



Calculated XRD peak list of Tm4S3 for Cu Kα X-rays, from a crystal structure in Alexandria, relaxed with PBE.
Kinematic intensities with the Lorentz-polarization factor, no thermal factor.

Peak list (6 most intense, 2θ = 10–90°, in order of rising 2θ)
28.52°, rel. 26
28.97°, rel. 81
33.45°, rel. 100
47.74°, rel. 33
48.32°, rel. 36
57.07°, rel. 24

Structure:
Cell lengths 12.705, 12.705, 12.705 Å; angles 17.05, 17.05, 17.05 degrees
Atoms (fractional coordinates):
Tm: 0.122 0.122 0.122
Tm: 0.371 0.371 0.371
Tm: 0.629 0.629 0.629
Tm: 0.878 0.878 0.878
S: 0.252 0.252 0.252
S: 0.500 0.500 0.500
S: 0.748 0.748 0.748